# 1
YCrO4: theoretical PXRD pattern (copper Kα), based on the GGA+U geometry in the Materials Project.

Most intense lines, 10 to 90 degrees two-theta, in order of rising 2θ:
24.7°, rel. 100, (0 2 2); 33.4°, rel. 60, (2 0 2); 35.1°, rel. 8, (0 4 0); 40.1°, rel. 9, (1 3 3); 49.3°, rel. 55, (2 2 4); 50.6°, rel. 15, (0 4 4); 61.9°, rel. 9, (2 6 0); 62.1°, rel. 8, (2 0 6); 64.5°, rel. 10, (4 2 2); 70.2°, rel. 9, (4 0 4)

Atomic structure:
```
data_YCrO4
_chemical_formula_sum 'Y8 Cr8 O32'
_space_group_name_H-M_alt 'C 2 2 2'
_space_group_IT_number 21
_space_group_name_Hall 'C 2 2'
_cell_length_a 6.3082
_cell_length_b 10.2276
_cell_length_c 10.1847
_cell_angle_alpha 90.00
_cell_angle_beta 90.00
_cell_angle_gamma 90.00
loop_
_atom_site_label
_atom_site_fract_x
_atom_site_fract_y
_atom_site_fract_z
_atom_site_occupancy
Y1 0.0000 0.0000 0.0000 1
Y2 0.0000 0.5000 0.5000 1
Y3 0.2500 0.2500 0.7499 1
Cr1 0.0000 0.0000 0.5000 1
Cr2 0.0000 0.5000 0.0000 1
Cr3 0.2500 0.2500 0.2494 1
O1 0.0734 0.1633 0.1540 1
O2 0.0755 0.3390 0.3439 1
O3 0.1753 0.0941 0.5893 1
O4 0.1761 0.4135 0.9040 1
```

---

# 2
Y2Cr3O9: theoretical PXRD pattern (copper Kα), based on the GGA+U geometry in the Materials Project.

Most intense lines, 10 to 90 degrees two-theta, in order of rising 2θ:
15.4°, rel. 37, (0 0 2); 28.3°, rel. 45, (1 0 2); 33.3°, rel. 100, (1 0 3); 33.6°, rel. 56, (1 1 0); 47.3°, rel. 18, (0 0 6); 48.2°, rel. 51, (2 0 0); 52.4°, rel. 20, (1 1 5); 59.8°, rel. 35, (2 1 3); 69.8°, rel. 28, (2 0 6); 89.4°, rel. 18, (2 2 6)

Atomic structure:
```
data_Y2Cr3O9
_chemical_formula_sum 'Y2 Cr3 O9'
_space_group_name_H-M_alt 'P 4/m m m'
_space_group_IT_number 123
_space_group_name_Hall '-P 4 2'
_cell_length_a 3.7751
_cell_length_b 3.7751
_cell_length_c 11.5346
_cell_angle_alpha 90.00
_cell_angle_beta 90.00
_cell_angle_gamma 90.00
loop_
_atom_site_label
_atom_site_fract_x
_atom_site_fract_y
_atom_site_fract_z
_atom_site_occupancy
Y1 0.0000 0.0000 0.1888 1
Cr1 0.5000 0.5000 0.0000 1
Cr2 0.5000 0.5000 0.3475 1
O1 0.0000 0.5000 0.0000 1
O2 0.0000 0.5000 0.3139 1
O3 0.5000 0.5000 0.1670 1
O4 0.5000 0.5000 0.5000 1
```

---

# 3
YCrO3: theoretical PXRD pattern (copper Kα), based on the GGA+U geometry in the Materials Project.

Most intense lines, 10 to 90 degrees two-theta, in order of rising 2θ:
25.8°, rel. 17, (1 1 1); 31.9°, rel. 20, (2 0 0); 32.9°, rel. 100, (1 2 1); 33.7°, rel. 23, (0 0 2); 47.1°, rel. 21, (2 0 2); 47.4°, rel. 16, (0 4 0); 48.6°, rel. 11, (2 1 2); 53.2°, rel. 15, (3 1 1); 59.4°, rel. 11, (0 4 2); 59.8°, rel. 23, (1 2 3)

Atomic structure:
```
data_YCrO3
_chemical_formula_sum 'Y4 Cr4 O12'
_space_group_name_H-M_alt 'P n m a'
_space_group_IT_number 62
_space_group_name_Hall '-P 2ac 2n'
_cell_length_a 5.6147
_cell_length_b 7.6674
_cell_length_c 5.3173
_cell_angle_alpha 90.00
_cell_angle_beta 90.00
_cell_angle_gamma 90.00
loop_
_atom_site_label
_atom_site_fract_x
_atom_site_fract_y
_atom_site_fract_z
_atom_site_occupancy
Y1 0.0674 0.2500 0.0189 1
Cr1 0.0000 0.0000 0.5000 1
O1 0.0409 0.7500 0.3881 1
O2 0.1976 0.5574 0.8070 1
```